Theoretical PXRD pattern
Compound: Ce2Zn5Ag12
Radiation: CuKα
Structure: the PBE geometry in Alexandria
Intensities are scaled so that the largest is 100.

```
data_Ce2Zn5Ag12
_symmetry_space_group_name_H-M 'R -3 m'
_symmetry_Int_Tables_number 166
_symmetry_space_group_name_Hall '-R 3 2"'
_cell_length_a 9.5080
_cell_length_b 9.5080
_cell_length_c 14.0003
_cell_angle_alpha 90.00
_cell_angle_beta 90.00
_cell_angle_gamma 120.00
loop_
_atom_site_label
_atom_site_type_symbol
_atom_site_fract_x
_atom_site_fract_y
_atom_site_fract_z
_atom_site_occupancy
Ce1 Ce 0.0000 0.0000 0.1528 1
Zn1 Zn 0.0000 0.0000 0.3997 1
Zn2 Zn 0.0000 0.5000 0.0000 1
Ag1 Ag 0.0000 0.3001 0.5000 1
Ag2 Ag 0.0091 0.5046 0.3481 1
```

Top 10 peaks for 5 to 70 degrees two-theta, in order of rising 2θ:
2θ (°)	intensity	index
32.62	32	3 0 0
33.61	35	0 2 4
37.85	42	2 2 0
38.03	100	3 0 3
38.58	33	0 0 6
42.69	50	2 2 3
55.20	17	2 2 6
61.83	16	3 3 3
68.34	24	6 0 0
69.45	17	3 0 9